# 1
This entry pairs a crystal structure of La4MgGa2Fe2O12 with its calculated powder diffractogram. Radiation: CuKα. Structure: DFT lattice parameters and positions (GGA+U).

Atomic structure:
```
data_La4MgGa2Fe2O12
_chemical_formula_sum 'La4 Mg1 Ga2 Fe2 O12'
_cell_length_a 5.6668
_cell_length_b 5.9510
_cell_length_c 8.5681
_cell_angle_alpha 88.30
_cell_angle_beta 84.19
_cell_angle_gamma 85.03
_symmetry_space_group_name_H-M 'P 1'
_symmetry_Int_Tables_number 1
loop_
_symmetry_equiv_pos_as_xyz
'x,y,z'
loop_
_atom_site_label
_atom_site_type_symbol
_atom_site_fract_x
_atom_site_fract_y
_atom_site_fract_z
La1 La 0.0000 0.0000 0.0000
La2 La 0.0708 0.8727 0.5198
La3 La 0.5291 0.3694 0.4850
La4 La 0.6013 0.5419 0.0711
Mg1 Mg 0.3440 0.3464 0.8401
Ga1 Ga 0.0706 0.4171 0.2696
Ga2 Ga 0.5354 0.8577 0.7512
Fe1 Fe 0.5646 0.9463 0.2950
Fe2 Fe 0.9222 0.4147 0.7188
O1 O 0.1773 0.3901 0.0483
O2 O 0.1829 0.1465 0.7164
O3 O 0.2657 0.1445 0.3423
O4 O 0.3419 0.6340 0.3149
O5 O 0.3568 0.6200 0.6881
O6 O 0.4051 0.8899 0.9631
O7 O 0.6461 0.9755 0.5478
O8 O 0.6868 0.2694 0.8656
O9 O 0.7765 0.2499 0.2356
O10 O 0.8420 0.7326 0.8077
O11 O 0.8485 0.7533 0.2046
O12 O 0.9321 0.4895 0.4868
```

Top 6 peaks for 10° ≤ 2θ ≤ 90°, low angle first:
| two_theta | d_spacing | I (rel.) |
| --- | --- | --- |
| 20.85 | 4.261 | 29 |
| 28.25 | 3.159 | 39 |
| 30.14 | 2.965 | 100 |
| 30.99 | 2.885 | 75 |
| 31.87 | 2.808 | 83 |
| 42.43 | 2.130 | 36 |

# 2
This entry pairs a crystal structure of VO2F with its calculated powder diffractogram. Radiation: CuKα. Structure: DFT lattice parameters and positions (GGA+U).

Atomic structure:
```
data_VO2F
_chemical_formula_sum 'V2 O4 F2'
_cell_length_a 10.7668
_cell_length_b 3.1885
_cell_length_c 4.2412
_cell_angle_alpha 90.00
_cell_angle_beta 110.37
_cell_angle_gamma 90.00
_symmetry_space_group_name_H-M 'P 1'
_symmetry_Int_Tables_number 1
loop_
_symmetry_equiv_pos_as_xyz
'x,y,z'
loop_
_atom_site_label
_atom_site_type_symbol
_atom_site_fract_x
_atom_site_fract_y
_atom_site_fract_z
V1 V 0.0000 0.0000 0.0000
V2 V 0.5000 0.5000 0.0000
O1 O 0.0011 0.0000 0.6187
O2 O 0.4273 0.0000 0.0417
O3 O 0.5011 0.5000 0.6187
O4 O 0.9273 0.5000 0.0417
F1 F 0.1703 0.0000 0.2444
F2 F 0.6703 0.5000 0.2444
```

Top 6 peaks for 10° ≤ 2θ ≤ 90°, low angle first:
| two_theta | d_spacing | I (rel.) |
| --- | --- | --- |
| 17.57 | 5.047 | 100 |
| 22.36 | 3.976 | 38 |
| 23.16 | 3.840 | 41 |
| 29.38 | 3.040 | 52 |
| 35.23 | 2.547 | 14 |
| 40.12 | 2.248 | 17 |

# 3
This entry pairs a crystal structure of CaMo4O8 with its calculated powder diffractogram. Radiation: CuKα. Structure: DFT lattice parameters and positions (GGA+U).

Atomic structure:
```
data_CaMo4O8
_chemical_formula_sum 'Ca1 Mo4 O8'
_cell_length_a 6.6495
_cell_length_b 6.6495
_cell_length_c 6.6495
_cell_angle_alpha 58.00
_cell_angle_beta 58.00
_cell_angle_gamma 58.00
_symmetry_space_group_name_H-M 'P 1'
_symmetry_Int_Tables_number 1
loop_
_symmetry_equiv_pos_as_xyz
'x,y,z'
loop_
_atom_site_label
_atom_site_type_symbol
_atom_site_fract_x
_atom_site_fract_y
_atom_site_fract_z
Ca1 Ca 0.0000 0.0000 0.0000
Mo1 Mo 0.0000 0.0000 0.5000
Mo2 Mo 0.0000 0.5000 0.0000
Mo3 Mo 0.5000 0.0000 0.0000
Mo4 Mo 0.5000 0.5000 0.5000
O1 O 0.2206 0.7377 0.7377
O2 O 0.2230 0.2230 0.2230
O3 O 0.2623 0.2623 0.7794
O4 O 0.2623 0.7794 0.2623
O5 O 0.7377 0.2206 0.7377
O6 O 0.7377 0.7377 0.2206
O7 O 0.7770 0.7770 0.7770
O8 O 0.7794 0.2623 0.2623
```

Top 6 peaks for 10° ≤ 2θ ≤ 90°, low angle first:
| two_theta | d_spacing | I (rel.) |
| --- | --- | --- |
| 16.09 | 5.510 | 100 |
| 32.52 | 2.753 | 48 |
| 33.89 | 2.645 | 27 |
| 38.93 | 2.313 | 58 |
| 50.63 | 1.803 | 17 |
| 57.14 | 1.612 | 18 |

# 4
This entry pairs a crystal structure of RbMg14CrO16 with its calculated powder diffractogram. Radiation: CuKα. Structure: DFT lattice parameters and positions (GGA+U).

Atomic structure:
```
data_RbMg14CrO16
_chemical_formula_sum 'Rb1 Mg14 Cr1 O16'
_cell_length_a 8.7132
_cell_length_b 8.7132
_cell_length_c 4.3949
_cell_angle_alpha 90.00
_cell_angle_beta 90.00
_cell_angle_gamma 90.00
_symmetry_space_group_name_H-M 'P 1'
_symmetry_Int_Tables_number 1
loop_
_symmetry_equiv_pos_as_xyz
'x,y,z'
loop_
_atom_site_label
_atom_site_type_symbol
_atom_site_fract_x
_atom_site_fract_y
_atom_site_fract_z
Rb1 Rb 0.0000 0.0000 0.0000
Mg1 Mg 0.0000 0.2580 0.5000
Mg2 Mg 0.0000 0.5000 0.0000
Mg3 Mg 0.0000 0.7420 0.5000
Mg4 Mg 0.2491 0.5000 0.5000
Mg5 Mg 0.2506 0.2506 0.0000
Mg6 Mg 0.2506 0.7494 0.0000
Mg7 Mg 0.2580 0.0000 0.5000
Mg8 Mg 0.5000 0.0000 0.0000
Mg9 Mg 0.5000 0.2491 0.5000
Mg10 Mg 0.5000 0.7509 0.5000
Mg11 Mg 0.7420 0.0000 0.5000
Mg12 Mg 0.7494 0.2506 0.0000
Mg13 Mg 0.7494 0.7494 0.0000
Mg14 Mg 0.7509 0.5000 0.5000
Cr1 Cr 0.5000 0.5000 0.0000
O1 O 0.0000 0.0000 0.5000
O2 O 0.0000 0.2807 0.0000
O3 O 0.0000 0.5000 0.5000
O4 O 0.0000 0.7193 0.0000
O5 O 0.2508 0.2508 0.5000
O6 O 0.2508 0.7492 0.5000
O7 O 0.2619 0.5000 0.0000
O8 O 0.2807 0.0000 0.0000
O9 O 0.5000 0.0000 0.5000
O10 O 0.5000 0.2619 0.0000
O11 O 0.5000 0.5000 0.5000
O12 O 0.5000 0.7381 0.0000
O13 O 0.7193 0.0000 0.0000
O14 O 0.7381 0.5000 0.0000
O15 O 0.7492 0.2508 0.5000
O16 O 0.7492 0.7492 0.5000
```

Top 6 peaks for 10° ≤ 2θ ≤ 90°, low angle first:
| two_theta | d_spacing | I (rel.) |
| --- | --- | --- |
| 35.59 | 2.523 | 32 |
| 41.08 | 2.197 | 53 |
| 41.45 | 2.178 | 100 |
| 59.78 | 1.547 | 59 |
| 60.07 | 1.540 | 28 |
| 75.35 | 1.261 | 26 |

# 5
This entry pairs a crystal structure of K2Be2NiH6F8 with its calculated powder diffractogram. Radiation: CuKα. Structure: DFT lattice parameters and positions (GGA+U).

Atomic structure:
```
data_K2Be2NiH6F8
_chemical_formula_sum 'K4 Be4 Ni2 H12 F16'
_cell_length_a 6.0676
_cell_length_b 11.5447
_cell_length_c 7.8637
_cell_angle_alpha 90.00
_cell_angle_beta 109.54
_cell_angle_gamma 90.00
_symmetry_space_group_name_H-M 'P 1'
_symmetry_Int_Tables_number 1
loop_
_symmetry_equiv_pos_as_xyz
'x,y,z'
loop_
_atom_site_label
_atom_site_type_symbol
_atom_site_fract_x
_atom_site_fract_y
_atom_site_fract_z
K1 K 0.1690 0.1443 0.3818
K2 K 0.1690 0.3557 0.8818
K3 K 0.8310 0.6443 0.1182
K4 K 0.8310 0.8557 0.6182
Be1 Be 0.2199 0.6734 0.8747
Be2 Be 0.2199 0.8266 0.3747
Be3 Be 0.7801 0.1734 0.6253
Be4 Be 0.7801 0.3266 0.1253
Ni1 Ni 0.5000 0.0000 0.0000
Ni2 Ni 0.5000 0.5000 0.5000
H1 H 0.3535 0.5940 0.5605
H2 H 0.3535 0.9060 0.0605
H3 H 0.4087 0.5814 0.2603
H4 H 0.4087 0.9186 0.7603
H5 H 0.4839 0.5954 0.6377
H6 H 0.4839 0.9046 0.1377
H7 H 0.5161 0.0954 0.8623
H8 H 0.5161 0.4046 0.3623
H9 H 0.5913 0.0814 0.2397
H10 H 0.5913 0.4186 0.7397
H11 H 0.6465 0.0940 0.9395
H12 H 0.6465 0.4060 0.4395
F1 F 0.0695 0.7442 0.4336
F2 F 0.0695 0.7558 0.9336
F3 F 0.1043 0.5697 0.7763
F4 F 0.1043 0.9303 0.2763
F5 F 0.3641 0.5728 0.1278
F6 F 0.3641 0.9272 0.6278
F7 F 0.4476 0.7166 0.8688
F8 F 0.4476 0.7834 0.3688
F9 F 0.5524 0.2166 0.6312
F10 F 0.5524 0.2834 0.1312
F11 F 0.6359 0.0728 0.3722
F12 F 0.6359 0.4272 0.8722
F13 F 0.8957 0.0697 0.7237
F14 F 0.8957 0.4303 0.2237
F15 F 0.9305 0.2442 0.0664
F16 F 0.9305 0.2558 0.5664
```

Top 6 peaks for 10° ≤ 2θ ≤ 90°, low angle first:
| two_theta | d_spacing | I (rel.) |
| --- | --- | --- |
| 21.88 | 4.062 | 33 |
| 23.87 | 3.728 | 100 |
| 26.09 | 3.415 | 63 |
| 28.30 | 3.154 | 34 |
| 30.51 | 2.930 | 72 |
| 36.50 | 2.462 | 42 |

# 6
This entry pairs a crystal structure of Li2Fe5Si5O16 with its calculated powder diffractogram. Radiation: CuKα. Structure: DFT lattice parameters and positions (GGA+U).

Atomic structure:
```
data_Li2Fe5Si5O16
_chemical_formula_sum 'Li4 Fe10 Si10 O32'
_cell_length_a 6.8480
_cell_length_b 10.3240
_cell_length_c 10.2142
_cell_angle_alpha 90.00
_cell_angle_beta 90.35
_cell_angle_gamma 90.00
_symmetry_space_group_name_H-M 'P 1'
_symmetry_Int_Tables_number 1
loop_
_symmetry_equiv_pos_as_xyz
'x,y,z'
loop_
_atom_site_label
_atom_site_type_symbol
_atom_site_fract_x
_atom_site_fract_y
_atom_site_fract_z
Li1 Li 0.2462 0.0000 0.4658
Li2 Li 0.2511 0.0125 0.9647
Li3 Li 0.7489 0.5125 0.0353
Li4 Li 0.7538 0.5000 0.5342
Fe1 Fe 0.2136 0.3301 0.7785
Fe2 Fe 0.2467 0.8328 0.7201
Fe3 Fe 0.2494 0.5342 0.0157
Fe4 Fe 0.2548 0.5369 0.5326
Fe5 Fe 0.2851 0.8332 0.2046
Fe6 Fe 0.7149 0.3332 0.7954
Fe7 Fe 0.7452 0.0369 0.4674
Fe8 Fe 0.7506 0.0342 0.9843
Fe9 Fe 0.7533 0.3328 0.2799
Fe10 Fe 0.7864 0.8301 0.2215
Si1 Si 0.0004 0.0721 0.7132
Si2 Si 0.9996 0.5721 0.2868
Si3 Si 0.0309 0.0800 0.2133
Si4 Si 0.2511 0.3324 0.2804
Si5 Si 0.4754 0.2629 0.0329
Si6 Si 0.4922 0.2574 0.5238
Si7 Si 0.5078 0.7574 0.4762
Si8 Si 0.5246 0.7629 0.9671
Si9 Si 0.7489 0.8324 0.7196
Si10 Si 0.9691 0.5800 0.7867
O1 O 0.0005 0.0506 0.5559
O2 O 0.0143 0.0666 0.0554
O3 O 0.0369 0.7208 0.2370
O4 O 0.0535 0.2416 0.2555
O5 O 0.1783 0.5291 0.7254
O6 O 0.1920 0.0084 0.7815
O7 O 0.1961 0.4813 0.2311
O8 O 0.2165 0.0065 0.2760
O9 O 0.2860 0.3374 0.9707
O10 O 0.3034 0.8141 0.5338
O11 O 0.3079 0.3346 0.4380
O12 O 0.3180 0.8307 0.0055
O13 O 0.4481 0.2862 0.1999
O14 O 0.4641 0.3029 0.6766
O15 O 0.4795 0.1027 0.4994
O16 O 0.4878 0.1096 0.0002
O17 O 0.5122 0.6096 0.9998
O18 O 0.5205 0.6027 0.5006
O19 O 0.5359 0.8029 0.3234
O20 O 0.5519 0.7862 0.8001
O21 O 0.6820 0.3307 0.9945
O22 O 0.6921 0.8346 0.5620
O23 O 0.6966 0.3141 0.4662
O24 O 0.7140 0.8374 0.0293
O25 O 0.7835 0.5065 0.7240
O26 O 0.8039 0.9813 0.7689
O27 O 0.8080 0.5084 0.2185
O28 O 0.8217 0.0291 0.2746
O29 O 0.9465 0.7416 0.7445
O30 O 0.9631 0.2208 0.7630
O31 O 0.9857 0.5666 0.9446
O32 O 0.9995 0.5506 0.4441
```

Top 6 peaks for 10° ≤ 2θ ≤ 90°, low angle first:
| two_theta | d_spacing | I (rel.) |
| --- | --- | --- |
| 21.58 | 4.119 | 100 |
| 21.77 | 4.082 | 70 |
| 24.52 | 3.630 | 75 |
| 31.35 | 2.853 | 87 |
| 34.76 | 2.581 | 93 |
| 35.14 | 2.554 | 89 |

Which formula does entry 6 have? Li2Fe5Si5O16